For InCu3ReTe4, a DFT-relaxed cell (GGA-PBE, OQMD) gives the theoretical PXRD pattern in this record (copper Kα).
Peak positions follow from Bragg's law for the DFT cell and can differ from measured ones.

Cell and atoms:
a = 6.3641 Å, b = 6.3641 Å, c = 6.3641 Å
α = 90.00°, β = 90.00°, γ = 90.00°
Space group P-43m (No. 215)
Asymmetric unit:
In  0.0000  0.0000  0.0000 x1
Cu  0.0000  0.5000  0.5000 x3
Re  0.5000  0.5000  0.5000 x1
Te  0.2657  0.2657  0.2657 x4

Principal peaks in the range 5° ≤ 2θ ≤ 70°, by intensity:
d (Å)  2θ/deg  I (rel.)  (hkl)
2.250  40.07  100  2 2 0
3.674  24.22  68  1 1 1
4.500  19.73  35  1 1 0
1.919  47.38  30  3 1 1
6.364  13.92  23  1 0 0
2.598  34.52  19  2 1 1
1.591  57.97  16  4 0 0
1.701  53.90  12  3 2 1
1.460  63.74  11  3 3 1
1.765  51.79  8  3 2 0
1.500  61.85  7  4 1 1
2.013  45.05  7  3 1 0